[1]
MoWS4: simulated powder diffractogram (a wavelength of 1.5418 Å), based on DFT lattice parameters and positions (GGA-PBE).

Principal peaks in the range 10 to 90 degrees two-theta, sorted by position:
2θ (°)  I/Imax
12.9  100
32.5  7
33.1  28
35.1  15
38.1  33
42.0  16
46.7  22
52.0  6
57.7  7
58.4  13
69.5  6
74.1  9

Lattice parameters (Å, degrees): 3.184 13.721 5.514 90.00 90.00 90.00
Atoms (fractional coordinates):
Mo  0.000  0.000  0.000
Mo  0.500  0.500  0.000
W  0.000  0.500  0.498
W  0.500  0.000  0.498
S  0.000  0.114  0.665
S  0.000  0.386  0.166
S  0.000  0.614  0.166
S  0.000  0.886  0.665
S  0.500  0.114  0.166
S  0.500  0.386  0.665
S  0.500  0.614  0.665
S  0.500  0.886  0.166

***

[2]
SiNi2Ge: simulated powder diffractogram (a wavelength of 1.5418 Å), based on DFT lattice parameters and positions (GGA-PBE).

Principal peaks in the range 10 to 90 degrees two-theta, sorted by position:
2θ (°)  I/Imax
23.1  18
30.2  29
34.8  60
35.9  35
43.3  22
44.7  82
46.3  100
47.2  29
51.2  19
52.7  37
55.1  21
55.2  28

Lattice parameters (Å, degrees): 3.472 5.688 5.233 90.00 90.00 90.00
Atoms (fractional coordinates):
Si  0.000  0.159  0.000
Si  0.000  0.841  0.500
Ni  0.000  0.435  0.681
Ni  0.000  0.565  0.181
Ni  0.500  0.058  0.697
Ni  0.500  0.942  0.197
Ge  0.500  0.339  0.368
Ge  0.500  0.661  0.868

***

[3]
Pr3PuC4: simulated powder diffractogram (a wavelength of 1.5418 Å), based on DFT lattice parameters and positions (GGA-PBE).

Principal peaks in the range 10 to 90 degrees two-theta, sorted by position:
2θ (°)  I/Imax
10.3  67
20.6  36
26.3  53
31.2  61
31.6  100
33.1  78
35.9  45
38.5  43
43.1  31
44.7  26
50.9  36
54.1  34

Lattice parameters (Å, degrees): 17.377 4.202 4.079 90.00 97.75 90.00
Atoms (fractional coordinates):
Pr  0.000  0.000  0.000
Pr  0.180  0.000  0.701
Pr  0.320  0.500  0.299
Pr  0.500  0.500  0.000
Pr  0.680  0.500  0.701
Pr  0.820  0.000  0.299
Pu  0.000  0.500  0.500
Pu  0.500  0.000  0.500
C  0.102  0.500  0.998
C  0.172  0.500  0.189
C  0.328  0.000  0.811
C  0.398  0.000  0.002
C  0.602  0.000  0.998
C  0.672  0.000  0.189
C  0.828  0.500  0.811
C  0.898  0.500  0.002

***

[4]
Pr2Sm2CBr2Cl3: simulated powder diffractogram (a wavelength of 1.5418 Å), based on DFT lattice parameters and positions (GGA-PBE).

Principal peaks in the range 10 to 90 degrees two-theta, sorted by position:
2θ (°)  I/Imax
10.0  31
11.4  78
25.7  21
30.5  50
31.5  18
32.1  100
34.2  18
34.5  26
44.3  27
45.4  33
47.0  19
57.1  21

Lattice parameters (Å, degrees): 9.311 9.311 8.045 104.49 104.49 23.95
Atoms (fractional coordinates):
Pr  0.144  0.144  0.087
Pr  0.856  0.856  0.913
Sm  0.500  0.500  0.214
Sm  0.500  0.500  0.786
C  0.000  0.000  0.000
Br  0.333  0.333  0.184
Br  0.667  0.667  0.816
Cl  0.000  0.000  0.500
Cl  0.342  0.342  0.648
Cl  0.658  0.658  0.352

***

[5]
LiAgMoSe3: simulated powder diffractogram (a wavelength of 1.5418 Å), based on DFT lattice parameters and positions (GGA-PBE).

Principal peaks in the range 10 to 90 degrees two-theta, sorted by position:
2θ (°)  I/Imax
13.2  100
27.5  26
32.3  46
33.5  64
35.0  64
36.9  72
42.0  23
44.3  51
48.4  24
51.7  22
64.0  31
70.4  25

Lattice parameters (Å, degrees): 6.915 6.915 10.254 90.00 90.00 150.37
Atoms (fractional coordinates):
Li  0.236  0.764  0.750
Li  0.764  0.236  0.250
Ag  0.075  0.925  0.250
Ag  0.925  0.075  0.750
Mo  0.500  0.500  0.000
Mo  0.500  0.500  0.500
Se  0.143  0.857  0.021
Se  0.143  0.857  0.479
Se  0.421  0.579  0.250
Se  0.579  0.421  0.750
Se  0.857  0.143  0.521
Se  0.857  0.143  0.979

***

[6]
Nd2TmAl7Ag2: simulated powder diffractogram (a wavelength of 1.5418 Å), based on DFT lattice parameters and positions (GGA-PBE).

Principal peaks in the range 10 to 90 degrees two-theta, sorted by position:
2θ (°)  I/Imax
18.6  18
20.0  36
29.8  27
31.9  83
32.6  20
37.1  16
37.9  100
44.5  16
56.8  16
60.9  25
61.9  18
66.6  17

Lattice parameters (Å, degrees): 9.439 9.439 9.439 34.60 34.60 34.60
Atoms (fractional coordinates):
Nd  0.142  0.142  0.142
Nd  0.858  0.858  0.858
Tm  0.000  0.000  0.000
Al  0.075  0.586  0.586
Al  0.414  0.414  0.925
Al  0.414  0.925  0.414
Al  0.500  0.500  0.500
Al  0.586  0.075  0.586
Al  0.586  0.586  0.075
Al  0.925  0.414  0.414
Ag  0.336  0.336  0.336
Ag  0.664  0.664  0.664